The following is a simulated X-ray diffraction stick pattern of Pm2CdIn. It was derived from the GGA-PBE geometry in the Materials Project, using copper Kα.
Lines closer than 0.1° are merged.

Atomic structure:
abc: 7.708 7.708 7.708
angles: 90.00 90.00 90.00
Space group Fm-3m (No. 225)
Unique sites:
Pm  0.250  0.250  0.250 x8
Cd  0.000  0.000  0.000 x4
In  0.000  0.000  0.500 x4

The 6 most intense peaks (15 to 90 degrees two-theta), sorted by position:
| 2θ/deg | intensity |
| --- | --- |
| 32.86 | 1000 |
| 47.16 | 180 |
| 58.67 | 371 |
| 68.91 | 114 |
| 78.47 | 158 |
| 87.72 | 41 |

---

The following is a simulated X-ray diffraction stick pattern of Sn2Pd2Au. It was derived from the GGA-PBE geometry in the Materials Project, using copper Kα.
Lines closer than 0.1° are merged.

Atomic structure:
abc: 4.5363 4.5363 5.6974
angles: 90.00 90.00 120.00
Space group P3m1 (No. 156)
Unique sites:
Sn  0.0000  0.0000  0.0000 x1
Sn  0.3333  0.6667  0.4236 x1
Pd  0.0000  0.0000  0.5085 x1
Pd  0.6667  0.3333  0.2439 x1
Au  0.6667  0.3333  0.7547 x1

The 6 most intense peaks (15 to 90 degrees two-theta), sorted by position:
| 2θ/deg | intensity |
| --- | --- |
| 22.63 | 223 |
| 27.58 | 313 |
| 39.06 | 1000 |
| 39.74 | 870 |
| 56.94 | 335 |
| 71.67 | 340 |